(1)
Starting from a crystal structure in OQMD, relaxed with PBE, the XRD peak list of Nd2Y2Br2NCl3 was calculated for Cu Kα.

Top 8 peaks for 10° ≤ 2θ ≤ 80°, low angle first:
2theta	I (rel.)
10.26	48
11.32	76
31.12	45
32.57	100
34.37	23
35.24	48
45.62	28
45.72	26

Atomic structure:
```
10
Lattice="8.8445 -1.8879 0.0000 8.8445 1.8879 0.0000 -1.7937 0.0000 7.8171" Properties=species:S:1:pos:R:3 pbc="T T T"
Nd -0.3784 0.0000 1.6493
Nd -1.4153 0.0000 6.1679
Y 4.7643 0.0000 7.2659
Y 11.1309 0.0000 0.5512
Br 1.5967 0.0000 6.4527
Br 14.2986 0.0000 1.3644
N 8.8445 0.0000 0.0000
Cl 2.3157 0.0000 2.5314
Cl 7.9476 0.0000 3.9086
Cl 13.5796 0.0000 5.2857
```

(2)
Starting from a crystal structure in OQMD, relaxed with PBE, the XRD peak list of Ho12Co5Bi was calculated for Cu Kα.

Top 8 peaks for 10° ≤ 2θ ≤ 80°, low angle first:
2theta	I (rel.)
28.84	27
29.97	31
30.16	37
32.57	100
34.74	54
35.32	53
35.72	44
60.62	28

Atomic structure:
```
18
Lattice="-4.6818 4.6945 4.9196 4.6818 -4.6945 4.9196 4.6818 4.6945 -4.9196" Properties=species:S:1:pos:R:3 pbc="T T T"
Ho 4.6818 2.8800 -2.8883
Ho 2.7052 1.7242 0.0000
Ho 6.6585 1.7242 0.0000
Ho 1.7878 4.6945 -1.8499
Ho 2.8940 0.0000 3.0698
Ho 0.0000 1.8145 2.0314
Ho 4.6818 2.8800 2.8883
Ho 1.7878 4.6945 1.8499
Ho 2.8940 0.0000 6.7695
Ho -1.9766 2.9702 4.9196
Ho 1.9766 2.9702 4.9196
Ho 0.0000 1.8145 7.8079
Co 0.0000 0.0000 0.0000
Co 4.6818 0.0000 1.1000
Co 0.0000 3.5314 0.0000
Co 0.0000 5.8575 0.0000
Co 0.0000 4.6945 3.8196
Bi 0.0000 0.0000 4.9196
```

(3)
Starting from a crystal structure in OQMD, relaxed with PBE, the XRD peak list of Gd3Mg2CdGa2Ni was calculated for Cu Kα.

Top 8 peaks for 10° ≤ 2θ ≤ 80°, low angle first:
2theta	I (rel.)
24.40	21
32.11	100
35.19	79
37.66	35
41.81	25
42.94	20
56.68	27
57.52	20

Atomic structure:
```
9
Lattice="4.3214 0.0000 0.0000 0.0000 6.3175 3.6490 0.0000 -6.3175 3.6490" Properties=species:S:1:pos:R:3 pbc="T T T"
Gd 0.0000 0.0000 0.0000
Gd 0.0000 -2.5629 4.4889
Gd 0.0000 2.5629 4.4889
Mg 2.1607 -1.4814 2.1440
Mg 2.1607 1.4814 2.1440
Cd 2.1607 0.0000 4.7383
Ga 2.1607 -4.1825 3.0158
Ga 2.1607 4.1825 3.0158
Ni 0.0000 0.0000 2.9308
```

(4)
Starting from a crystal structure in OQMD, relaxed with PBE, the XRD peak list of DyLuSi4Ni2 was calculated for Cu Kα.

Top 8 peaks for 10° ≤ 2θ ≤ 80°, low angle first:
2theta	I (rel.)
21.64	36
25.08	32
32.60	72
35.58	72
36.18	100
40.12	32
46.08	59
59.55	32

Atomic structure:
```
8
Lattice="3.9383 0.0000 0.0000 0.0000 1.9704 8.2123 0.0000 -1.9704 8.2123" Properties=species:S:1:pos:R:3 pbc="T T T"
Dy 0.0000 0.0000 0.0000
Lu 1.9692 0.0000 3.4571
Si 0.0000 0.0000 5.8211
Si 0.0000 0.0000 10.5943
Si 1.9692 0.0000 9.2920
Si 1.9692 0.0000 14.0250
Ni 0.0000 0.0000 12.8231
Ni 1.9692 0.0000 7.0324
```

(5)
Starting from a crystal structure in OQMD, relaxed with PBE, the XRD peak list of Gd2DyEr was calculated for Cu Kα.

Top 8 peaks for 10° ≤ 2θ ≤ 80°, low angle first:
2theta	I (rel.)
28.57	24
31.66	24
32.75	100
43.16	16
50.60	20
57.09	21
60.93	23
61.59	16

Atomic structure:
```
8
Lattice="5.6519 0.0000 0.0000 0.0000 3.6073 6.2507 0.0000 -3.6073 6.2507" Properties=species:S:1:pos:R:3 pbc="T T T"
Gd 0.0000 0.0000 0.0000
Gd 0.0000 -1.8002 3.1194
Gd 0.0000 1.8002 3.1194
Gd 2.8259 0.0000 8.3290
Dy 2.8259 -1.8005 5.2045
Dy 2.8259 1.8005 5.2045
Er 0.0000 0.0000 6.2462
Er 2.8259 0.0000 2.0818
```

(6)
Starting from a crystal structure in OQMD, relaxed with PBE, the XRD peak list of ErLuAlNi2 was calculated for Cu Kα.

Top 8 peaks for 10° ≤ 2θ ≤ 80°, low angle first:
2theta	I (rel.)
27.26	82
35.14	100
37.05	32
39.62	47
40.32	48
41.72	38
43.76	32
61.00	48

Atomic structure:
```
5
Lattice="-2.0688 2.6730 4.0852 2.0688 -2.6730 4.0852 2.0688 2.6730 -4.0852" Properties=species:S:1:pos:R:3 pbc="T T T"
Er 0.0000 0.0000 0.0000
Lu 0.0000 0.0000 4.8576
Al 2.0688 0.0000 2.4288
Ni 2.0688 1.2435 -1.6567
Ni 0.0000 1.4295 2.4285
```